This entry pairs a crystal structure of Cu3SiTe4 with its computed X-ray diffraction stick pattern. Radiation: CuKα. Structure: DFT lattice parameters and positions (PBE).
Intensities are scaled so that the largest is 100.

Structure:
Cell: 5.9174 5.9174 11.8935 Å, 90.00 90.00 90.00°
Space group I-42m (No. 121)
Unique sites:
Cu (0.0000, 0.0000, 0.0000) [2 per cell]
Cu (0.0000, 0.5000, 0.2500) [4 per cell]
Si (0.0000, 0.0000, 0.5000) [2 per cell]
Te (0.2495, 0.2495, 0.8735) [8 per cell]

Most intense lines, 10° ≤ 2θ ≤ 90°, in order of rising 2θ:
| Position (°2θ) | Rel. int. | hkl |
| --- | --- | --- |
| 26.0 | 100 | 1 1 2 |
| 30.2 | 7 | 2 0 0 |
| 43.1 | 45 | 2 0 4 |
| 43.2 | 22 | 2 2 0 |
| 51.0 | 15 | 1 1 6 |
| 51.2 | 31 | 3 1 2 |
| 62.8 | 7 | 4 0 0 |
| 69.0 | 12 | 3 1 6 |
| 79.0 | 7 | 2 2 8 |
| 79.2 | 14 | 4 2 4 |

=====

This entry pairs a crystal structure of TlCuSiTe3 with its computed X-ray diffraction stick pattern. Radiation: CuKα. Structure: DFT lattice parameters and positions (PBE).
Intensities are scaled so that the largest is 100.

Structure:
Cell: 3.8247 14.8128 11.2510 Å, 90.00 90.00 90.00°
Space group Cmcm (No. 63)
Unique sites:
Tl (0.0000, 0.2466, 0.2500) [4 per cell]
Cu (0.0000, 0.0878, 0.7500) [4 per cell]
Si (0.0000, 0.5000, 0.0000) [4 per cell]
Te (0.0000, 0.1330, 0.5278) [8 per cell]
Te (0.0000, 0.4643, 0.7500) [4 per cell]

Most intense lines, 10° ≤ 2θ ≤ 90°, in order of rising 2θ:
| Position (°2θ) | Rel. int. | hkl |
| --- | --- | --- |
| 28.9 | 100 | 0 4 2 |
| 29.5 | 44 | 1 3 0 |
| 30.6 | 92 | 1 3 1 |
| 31.8 | 57 | 0 0 4 |
| 34.0 | 27 | 1 1 3 |
| 38.2 | 27 | 1 3 3 |
| 44.0 | 22 | 1 3 4 |
| 47.5 | 22 | 2 0 0 |
| 50.6 | 35 | 1 3 5 |
| 56.6 | 23 | 2 4 2 |

=====

This entry pairs a crystal structure of TlCuSi2 with its computed X-ray diffraction stick pattern. Radiation: CuKα. Structure: DFT lattice parameters and positions (PBE).
Intensities are scaled so that the largest is 100.

Structure:
Cell: 6.6196 6.6196 6.6196 Å, 90.00 90.00 90.00°
Space group F-43m (No. 216)
Unique sites:
Tl (0.0000, 0.0000, 0.0000) [4 per cell]
Cu (0.2500, 0.2500, 0.2500) [4 per cell]
Si (0.0000, 0.0000, 0.5000) [4 per cell]
Si (0.2500, 0.2500, 0.7500) [4 per cell]

Most intense lines, 10° ≤ 2θ ≤ 90°, in order of rising 2θ:
| Position (°2θ) | Rel. int. | hkl |
| --- | --- | --- |
| 23.3 | 69 | 1 1 1 |
| 26.9 | 20 | 2 0 0 |
| 38.5 | 100 | 2 2 0 |
| 45.4 | 37 | 3 1 1 |
| 55.5 | 17 | 4 0 0 |
| 61.0 | 16 | 3 3 1 |
| 69.6 | 34 | 4 2 2 |
| 74.5 | 12 | 5 1 1 |
| 82.4 | 11 | 4 4 0 |
| 87.1 | 12 | 5 3 1 |

=====

This entry pairs a crystal structure of Sm2Cu17 with its computed X-ray diffraction stick pattern. Radiation: CuKα. Structure: DFT lattice parameters and positions (PBE).
Intensities are scaled so that the largest is 100.

Structure:
Cell: 8.5522 8.5522 12.5264 Å, 90.00 90.00 120.00°
Space group R-3m (No. 166, hexagonal axes)
Unique sites:
Sm (0.0000, 0.0000, 0.1582) [6 per cell]
Cu (0.0000, 0.0000, 0.4023) [6 per cell]
Cu (0.0000, 0.2934, 0.5000) [18 per cell]
Cu (0.0000, 0.5000, 0.0000) [9 per cell]
Cu (0.0011, 0.5006, 0.3456) [18 per cell]

Most intense lines, 10° ≤ 2θ ≤ 90°, in order of rising 2θ:
| Position (°2θ) | Rel. int. | hkl |
| --- | --- | --- |
| 29.9 | 29 | 1 1 3 |
| 36.4 | 39 | 3 0 0 |
| 37.6 | 28 | 0 2 4 |
| 42.3 | 62 | 2 2 0 |
| 42.5 | 100 | 3 0 3 |
| 43.3 | 49 | 0 0 6 |
| 47.8 | 29 | 2 2 3 |
| 61.5 | 21 | 2 1 7 |
| 62.1 | 25 | 2 2 6 |
| 79.0 | 19 | 3 0 9 |

=====

This entry pairs a crystal structure of SmCu with its computed X-ray diffraction stick pattern. Radiation: CuKα. Structure: DFT lattice parameters and positions (PBE).
Intensities are scaled so that the largest is 100.

Structure:
Cell: 3.5582 3.5582 3.5582 Å, 90.00 90.00 90.00°
Space group Pm-3m (No. 221)
Unique sites:
Sm (0.0000, 0.0000, 0.0000) [1 per cell]
Cu (0.5000, 0.5000, 0.5000) [1 per cell]

Most intense lines, 10° ≤ 2θ ≤ 90°, in order of rising 2θ:
| Position (°2θ) | Rel. int. | hkl |
| --- | --- | --- |
| 25.0 | 17 | 1 0 0 |
| 35.7 | 100 | 1 1 0 |
| 44.1 | 5 | 1 1 1 |
| 51.4 | 17 | 2 0 0 |
| 58.0 | 7 | 2 1 0 |
| 64.1 | 35 | 2 1 1 |
| 75.6 | 11 | 2 2 0 |
| 81.1 | 4 | 3 0 0 |
| 86.5 | 15 | 3 1 0 |

=====

This entry pairs a crystal structure of SmCu6 with its computed X-ray diffraction stick pattern. Radiation: CuKα. Structure: DFT lattice parameters and positions (PBE).
Intensities are scaled so that the largest is 100.

Structure:
Cell: 8.0378 5.0334 10.0794 Å, 90.00 90.00 90.00°
Space group Pnma (No. 62)
Unique sites:
Sm (0.2401, 0.2500, 0.0647) [4 per cell]
Cu (0.0617, 0.7500, 0.0954) [4 per cell]
Cu (0.0647, 0.0059, 0.3091) [8 per cell]
Cu (0.0985, 0.2500, 0.5168) [4 per cell]
Cu (0.1461, 0.7500, 0.8574) [4 per cell]
Cu (0.1836, 0.2500, 0.7557) [4 per cell]

Most intense lines, 10° ≤ 2θ ≤ 90°, in order of rising 2θ:
| Position (°2θ) | Rel. int. | hkl |
| --- | --- | --- |
| 32.0 | 26 | 0 1 3 |
| 35.7 | 36 | 0 2 0 |
| 37.4 | 56 | 1 0 4 |
| 39.1 | 100 | 3 1 1 |
| 39.3 | 84 | 2 1 3 |
| 40.0 | 29 | 0 2 2 |
| 42.4 | 30 | 2 2 0 |
| 43.4 | 28 | 2 2 1 |
| 46.2 | 37 | 2 1 4 |
| 46.5 | 62 | 1 0 5 |

=====

This entry pairs a crystal structure of TbSmTlCu2 with its computed X-ray diffraction stick pattern. Radiation: CuKα. Structure: DFT lattice parameters and positions (PBE).
Intensities are scaled so that the largest is 100.

Structure:
Cell: 3.6622 4.3180 14.2252 Å, 90.00 90.00 90.00°
Space group Amm2 (No. 38)
Unique sites:
Tb (0.0000, 0.0000, 0.0000) [2 per cell]
Sm (0.0000, 0.0000, 0.2685) [2 per cell]
Tl (0.5000, 0.0000, 0.6339) [2 per cell]
Cu (0.5000, 0.0000, 0.4323) [2 per cell]
Cu (0.5000, 0.0000, 0.8385) [2 per cell]

Most intense lines, 10° ≤ 2θ ≤ 90°, in order of rising 2θ:
| Position (°2θ) | Rel. int. | hkl |
| --- | --- | --- |
| 27.9 | 45 | 0 1 3 |
| 32.7 | 100 | 1 1 1 |
| 35.2 | 63 | 1 0 4 |
| 37.9 | 49 | 0 1 5 |
| 41.8 | 27 | 0 2 0 |
| 49.8 | 16 | 2 0 0 |
| 55.8 | 34 | 1 2 4 |
| 56.0 | 15 | 1 1 7 |
| 64.2 | 21 | 2 1 5 |
| 67.0 | 13 | 2 2 0 |

=====

This entry pairs a crystal structure of SmCu3Te4 with its computed X-ray diffraction stick pattern. Radiation: CuKα. Structure: DFT lattice parameters and positions (PBE).
Intensities are scaled so that the largest is 100.

Structure:
Cell: 6.1971 6.1971 12.2742 Å, 90.00 90.00 90.00°
Space group I-42m (No. 121)
Unique sites:
Sm (0.0000, 0.0000, 0.0000) [2 per cell]
Cu (0.0000, 0.0000, 0.5000) [2 per cell]
Cu (0.0000, 0.5000, 0.2500) [4 per cell]
Te (0.2174, 0.2174, 0.6407) [8 per cell]

Most intense lines, 10° ≤ 2θ ≤ 90°, in order of rising 2θ:
| Position (°2θ) | Rel. int. | hkl |
| --- | --- | --- |
| 25.0 | 100 | 1 1 2 |
| 26.1 | 7 | 1 0 3 |
| 33.1 | 12 | 2 1 1 |
| 41.2 | 23 | 2 2 0 |
| 41.4 | 46 | 2 0 4 |
| 48.8 | 27 | 3 1 2 |
| 49.2 | 13 | 1 1 6 |
| 59.7 | 6 | 4 0 0 |
| 66.0 | 8 | 3 1 6 |
| 75.2 | 10 | 4 2 4 |

=====

This entry pairs a crystal structure of SmZnCuTe3 with its computed X-ray diffraction stick pattern. Radiation: CuKα. Structure: DFT lattice parameters and positions (PBE).
Intensities are scaled so that the largest is 100.

Structure:
Cell: 4.0421 13.9566 11.3348 Å, 90.00 90.00 90.00°
Space group Cmcm (No. 63)
Unique sites:
Sm (0.0000, 0.0000, 0.0000) [4 per cell]
Zn (0.0000, 0.2321, 0.2500) [4 per cell]
Cu (0.0000, 0.4766, 0.7500) [4 per cell]
Te (0.0000, 0.1028, 0.7500) [4 per cell]
Te (0.0000, 0.3452, 0.5836) [8 per cell]

Most intense lines, 10° ≤ 2θ ≤ 90°, in order of rising 2θ:
| Position (°2θ) | Rel. int. | hkl |
| --- | --- | --- |
| 26.8 | 54 | 0 2 3 |
| 29.3 | 30 | 1 3 0 |
| 30.3 | 47 | 1 3 1 |
| 33.1 | 23 | 1 1 3 |
| 33.4 | 100 | 1 3 2 |
| 39.4 | 26 | 1 1 4 |
| 42.0 | 22 | 0 6 2 |
| 42.5 | 23 | 1 5 2 |
| 44.8 | 30 | 2 0 0 |
| 53.0 | 20 | 2 2 3 |

=====

This entry pairs a crystal structure of SmYCu4 with its computed X-ray diffraction stick pattern. Radiation: CuKα. Structure: DFT lattice parameters and positions (PBE).
Intensities are scaled so that the largest is 100.

Structure:
Cell: 4.2844 6.9205 7.4078 Å, 90.00 90.00 90.00°
Space group Imm2 (No. 44)
Unique sites:
Sm (0.0000, 0.0000, 0.0000) [2 per cell]
Y (0.0000, 0.5000, 0.9221) [2 per cell]
Cu (0.0000, 0.2028, 0.6239) [4 per cell]
Cu (0.0000, 0.2946, 0.2940) [4 per cell]

Most intense lines, 10° ≤ 2θ ≤ 90°, in order of rising 2θ:
| Position (°2θ) | Rel. int. | hkl |
| --- | --- | --- |
| 24.0 | 10 | 1 0 1 |
| 34.5 | 22 | 1 1 2 |
| 35.5 | 100 | 1 2 1 |
| 41.0 | 12 | 0 3 1 |
| 42.2 | 59 | 2 0 0 |
| 56.3 | 20 | 2 2 2 |
| 60.3 | 7 | 2 3 1 |
| 68.6 | 11 | 1 3 4 |
| 69.9 | 11 | 2 4 0 |
| 72.8 | 12 | 3 2 1 |

=====

This entry pairs a crystal structure of Cu5Sn4 with its computed X-ray diffraction stick pattern. Radiation: CuKα. Structure: DFT lattice parameters and positions (PBE).
Intensities are scaled so that the largest is 100.

Structure:
Cell: 9.9552 7.3434 9.9196 Å, 90.00 117.93 90.00°
Space group P2_1/c (No. 14)
Unique sites:
Cu (0.0562, 0.2241, 0.4428) [4 per cell]
Cu (0.1898, 0.7443, 0.3135) [4 per cell]
Cu (0.1914, 0.5874, 0.0627) [4 per cell]
Cu (0.3167, 0.2250, 0.6820) [4 per cell]
Cu (0.4296, 0.7448, 0.5693) [4 per cell]
Sn (0.0715, 0.0990, 0.7158) [4 per cell]
Sn (0.1832, 0.5531, 0.5645) [4 per cell]
Sn (0.3242, 0.0848, 0.4214) [4 per cell]
Sn (0.4564, 0.5935, 0.3326) [4 per cell]

Most intense lines, 10° ≤ 2θ ≤ 90°, in order of rising 2θ:
| Position (°2θ) | Rel. int. | hkl |
| --- | --- | --- |
| 29.8 | 54 | 3 1 -1 |
| 29.9 | 98 | 1 2 1 |
| 42.5 | 51 | 4 0 -4 |
| 42.6 | 100 | 2 3 -2 |
| 42.9 | 46 | 4 1 0 |
| 43.1 | 88 | 2 2 2 |
| 62.0 | 14 | 6 2 -2 |
| 62.2 | 25 | 2 2 -6 |
| 77.8 | 13 | 6 3 -6 |
| 78.1 | 13 | 0 6 0 |

=====

This entry pairs a crystal structure of Cu8Sn with its computed X-ray diffraction stick pattern. Radiation: CuKα. Structure: DFT lattice parameters and positions (PBE).
Intensities are scaled so that the largest is 100.

Structure:
Cell: 8.0452 3.5539 25.4321 Å, 90.00 90.36 90.00°
Space group C2/m (No. 12)
Unique sites:
Cu (0.0420, 0.0000, 0.3882) [4 per cell]
Cu (0.0477, 0.0000, 0.7087) [4 per cell]
Cu (0.0559, 0.5000, 0.5479) [4 per cell]
Cu (0.1474, 0.0000, 0.4841) [4 per cell]
Cu (0.1478, 0.5000, 0.3231) [4 per cell]
Cu (0.1547, 0.5000, 0.6444) [4 per cell]
Cu (0.2412, 0.5000, 0.4193) [4 per cell]
Cu (0.2420, 0.5000, 0.7407) [4 per cell]
Sn (0.0575, 0.5000, 0.2115) [4 per cell]

Most intense lines, 10° ≤ 2θ ≤ 90°, in order of rising 2θ:
| Position (°2θ) | Rel. int. | hkl |
| --- | --- | --- |
| 42.4 | 100 | 1 1 9 |
| 42.8 | 19 | 3 1 -2 |
| 43.6 | 99 | 3 1 -3 |
| 44.6 | 23 | 3 1 -4 |
| 45.3 | 32 | 1 1 10 |
| 48.4 | 30 | 2 0 -12 |
| 50.3 | 31 | 4 0 6 |
| 51.4 | 33 | 0 2 0 |
| 73.3 | 16 | 2 2 -12 |
| 74.8 | 21 | 4 2 6 |